For Lu2CoGe6, a cell relaxed with PBE gives the simulated powder diffractogram in this record (Cu Ka).
Neutral-atom scattering factors, no anomalous dispersion.

Structure:
Cell: 4.0339 10.8334 10.8334 Å, 20.89 90.00 90.00°
Sites, in units of the cell vectors:
Lu 0.0000 0.0000 0.0000
Lu 0.0000 0.3379 0.3379
Co 0.5000 0.7797 0.7797
Ge 0.0000 0.6051 0.6051
Ge 0.0000 0.7236 0.7236
Ge 0.5000 0.1025 0.1025
Ge 0.5000 0.2215 0.2215
Ge 0.5000 0.4632 0.4632
Ge 0.5000 0.8864 0.8864

Principal peaks in the range 5 to 70 degrees two-theta, sorted by position:
8.30 deg, I = 14; 25.92 deg, I = 13; 33.63 deg, I = 40; 34.28 deg, I = 100; 38.33 deg, I = 26; 44.69 deg, I = 17; 44.94 deg, I = 23; 46.23 deg, I = 21; 58.38 deg, I = 16; 66.45 deg, I = 14